# CeZr2Pa3P6
Theoretical X-ray powder pattern, Cu Kα, 1.54184 Å. Input: a DFT-relaxed cell (GGA-PBE, Alexandria).

Atomic structure:
a b c (Å): 6.801 6.801 6.730
angles (deg): 99.74 99.74 120.01
Atoms (fractional coordinates):
Ce (0.000, 0.000, 0.000)
Zr (0.333, 0.667, 0.000)
Zr (0.667, 0.333, 0.000)
Pa (0.163, 0.837, 0.500)
Pa (0.500, 0.500, 0.500)
Pa (0.837, 0.163, 0.500)
P (0.081, 0.426, 0.245)
P (0.265, 0.265, 0.760)
P (0.426, 0.081, 0.245)
P (0.574, 0.919, 0.755)
P (0.735, 0.735, 0.240)
P (0.919, 0.574, 0.755)

Principal peaks in the range 2θ from 5° to 70°, sorted by position:
| Position (°2θ) | Rel. int. |
| --- | --- |
| 13.98 | 18 |
| 26.63 | 14 |
| 27.87 | 69 |
| 28.18 | 22 |
| 32.38 | 100 |
| 46.25 | 37 |
| 46.65 | 36 |
| 54.86 | 11 |
| 55.04 | 22 |
| 55.40 | 11 |
| 57.58 | 19 |
| 67.79 | 12 |